The following is a theoretical PXRD pattern of Pa2OsRu4. It was derived from a DFT-relaxed cell (GGA-PBE, Alexandria), using CuKα.

Largest 12 diffraction maxima, in order of falling intensity, 10 to 90 degrees two-theta:
d [Å]	Position (°2θ)	Rel. int.
2.319	38.8	100
2.902	30.8	64
2.731	32.8	63
2.132	42.4	39
2.165	41.7	39
1.964	46.2	21
1.451	64.2	16
1.160	83.3	16
1.620	56.8	15
1.264	75.2	14
1.705	53.8	14
2.660	33.7	13

Atomic structure:
a b c (Å): 6.0139 6.0139 9.6672
angles (deg): 114.72 114.72 54.69
Fractional coordinates of all 14 atoms:
1 Pa 0.1658 0.1658 0.4958
2 Pa 0.1659 0.1659 0.9975
3 Pa 0.8341 0.8341 0.0025
4 Pa 0.8342 0.8342 0.5042
5 Os 0.5000 0.5000 0.0000
6 Os 0.5000 0.5000 0.5000
7 Ru 0.0008 0.5018 0.2507
8 Ru 0.2659 0.7331 0.7507
9 Ru 0.2669 0.7341 0.2493
10 Ru 0.4982 0.9992 0.7493
11 Ru 0.5018 0.0008 0.2507
12 Ru 0.7331 0.2659 0.7507
13 Ru 0.7341 0.2669 0.2493
14 Ru 0.9992 0.4982 0.7493